# FePdSe2
Simulated powder XRD pattern, a wavelength of 1.5418 Å. Input: a cell relaxed with PBE.
Lines closer than 0.1° are merged.

Main lines, in order of rising 2θ (2θ from 5° to 70°):
- 2θ = 28.22°, d 3.163, I = 100.0
- 2θ = 37.09°, d 2.424, I = 7.6
- 2θ = 46.12°, d 1.968, I = 23.1
- 2θ = 47.31°, d 1.922, I = 45.4
- 2θ = 54.95°, d 1.671, I = 26.6
- 2θ = 57.03°, d 1.615, I = 14.0

```
8
Lattice="-2.783 2.783 5.312 2.783 -2.783 5.312 2.783 2.783 -5.312" Properties=species:S:1:pos:R:3 pbc="T T T"
Fe 0.000 0.000 0.000
Fe 0.000 2.783 2.656
Pd 2.783 0.000 2.656
Pd 0.000 0.000 5.312
Se 4.175 1.182 -1.328
Se 1.182 1.392 1.328
Se -1.392 1.601 3.984
Se 1.601 1.392 6.641
```